For CeThSbN2, a cell relaxed with PBE gives the simulated X-ray diffraction stick pattern in this record (λ = 1.5418 Å (Cu Kα)).
Intensities are scaled so that the largest is 100.

Crystal structure
```
data_CeThSbN2
_chemical_formula_sum 'Ce2 Th2 Sb2 N4'
_space_group_name_H-M_alt 'I 4 m m'
_space_group_IT_number 107
_space_group_name_Hall 'I 4 -2'
_cell_length_a 4.0091
_cell_length_b 4.0091
_cell_length_c 13.7255
_cell_angle_alpha 90.00
_cell_angle_beta 90.00
_cell_angle_gamma 90.00
loop_
_atom_site_label
_atom_site_type_symbol
_atom_site_fract_x
_atom_site_fract_y
_atom_site_fract_z
Ce1 Ce 0.0000 0.0000 0.0000
Th1 Th 0.0000 0.0000 0.3339
Sb1 Sb 0.0000 0.0000 0.6657
N1 N 0.0000 0.5000 0.4197
```

The 8 most intense peaks (5 to 70 degrees two-theta), most intense first:
h k l  2θ (°)  I (rel.)
1 0 3  29.6  100
1 1 0  31.6  38
2 1 3  55.0  36
1 1 6  51.3  26
2 0 0  45.2  17
2 0 6  61.5  12
1 0 9  65.5  11
0 0 6  39.4  10



For Sr3Ca, a cell relaxed with PBE gives the simulated X-ray diffraction stick pattern in this record (λ = 1.5418 Å (Cu Kα)).
Intensities are scaled so that the largest is 100.

Crystal structure
```
data_Sr3Ca
_chemical_formula_sum 'Sr12 Ca4'
_space_group_name_H-M_alt 'F m -3 m'
_space_group_IT_number 225
_space_group_name_Hall '-F 4 2 3'
_cell_length_a 9.3101
_cell_length_b 9.3101
_cell_length_c 9.3101
_cell_angle_alpha 90.00
_cell_angle_beta 90.00
_cell_angle_gamma 90.00
loop_
_atom_site_label
_atom_site_type_symbol
_atom_site_fract_x
_atom_site_fract_y
_atom_site_fract_z
Sr1 Sr 0.0000 0.0000 0.0000
Sr2 Sr 0.2500 0.2500 0.2500
Ca1 Ca 0.0000 0.0000 0.5000
```

The 8 most intense peaks (5 to 70 degrees two-theta), most intense first:
h k l  2θ (°)  I (rel.)
2 2 0  27.1  100
4 2 2  47.9  41
4 0 0  38.7  19
6 2 0  63.2  17
4 4 0  55.9  13
1 1 1  16.5  4
3 1 1  31.9  3
2 0 0  19.1  2



For BeCd2GeAu6, a cell relaxed with PBE gives the simulated X-ray diffraction stick pattern in this record (λ = 1.5418 Å (Cu Kα)).
Intensities are scaled so that the largest is 100.

Crystal structure
```
data_BeCd2GeAu6
_chemical_formula_sum 'Be4 Cd8 Ge4 Au24'
_space_group_name_H-M_alt 'F m -3 m'
_space_group_IT_number 225
_space_group_name_Hall '-F 4 2 3'
_cell_length_a 9.4157
_cell_length_b 9.4157
_cell_length_c 9.4157
_cell_angle_alpha 90.00
_cell_angle_beta 90.00
_cell_angle_gamma 90.00
loop_
_atom_site_label
_atom_site_type_symbol
_atom_site_fract_x
_atom_site_fract_y
_atom_site_fract_z
Be1 Be 0.0000 0.0000 0.0000
Cd1 Cd 0.2500 0.2500 0.2500
Ge1 Ge 0.0000 0.0000 0.5000
Au1 Au 0.0000 0.0000 0.2354
```

The 8 most intense peaks (5 to 70 degrees two-theta), most intense first:
h k l  2θ (°)  I (rel.)
2 2 2  33.0  100
4 0 0  38.2  63
4 4 0  55.2  42
6 2 2  65.8  38
4 4 4  69.1  14
2 0 0  18.8  11
3 3 1  41.8  6
4 2 0  43.0  4



For Li10B14Cl2O25, a cell relaxed with PBE gives the simulated X-ray diffraction stick pattern in this record (λ = 1.5418 Å (Cu Kα)).
Intensities are scaled so that the largest is 100.

Crystal structure
```
data_Li10B14Cl2O25
_chemical_formula_sum 'Li40 B56 Cl8 O100'
_space_group_name_H-M_alt 'F 2 3'
_space_group_IT_number 196
_space_group_name_Hall 'F 2 2 3'
_cell_length_a 12.2335
_cell_length_b 12.2335
_cell_length_c 12.2335
_cell_angle_alpha 90.00
_cell_angle_beta 90.00
_cell_angle_gamma 90.00
loop_
_atom_site_label
_atom_site_type_symbol
_atom_site_fract_x
_atom_site_fract_y
_atom_site_fract_z
Li1 Li 0.0000 0.0000 0.2059
Li2 Li 0.1148 0.1148 0.3852
B1 B 0.0005 0.2500 0.7500
B2 B 0.1490 0.1490 0.6490
B3 B 0.1693 0.1693 0.1693
Cl1 Cl 0.0000 0.0000 0.0000
Cl2 Cl 0.0000 0.0000 0.5000
O1 O 0.0672 0.2270 0.6514
O2 O 0.0700 0.1529 0.2307
O3 O 0.2500 0.2500 0.2500
```

The 8 most intense peaks (5 to 70 degrees two-theta), most intense first:
h k l  2θ (°)  I (rel.)
2 2 2  25.2  100
5 1 3  43.8  95
4 0 2  32.7  41
2 0 0  14.5  39
4 2 2  36.0  36
6 2 4  56.3  17
1 1 1  12.5  16
8 2 0  62.6  12